Structure and simulated XRD peak list of Ca10VP5O24F2 (a DFT-relaxed cell (PBE+U, the Materials Project); Cu Kα, 1.54184 Å).
Neutral-atom scattering factors, no anomalous dispersion.

Most intense lines, 2θ = 5–70°, low angle first:
two_theta	d/Å	I/Imax	(hkl)
25.5	3.489	64	0 2 0
31.4	2.852	70	1 1 2
31.5	2.843	100	3 1 -1
31.8	2.815	69	1 2 -2
32.5	2.754	66	0 0 3
32.7	2.742	30	3 0 -3
33.6	2.664	45	2 2 -2
39.3	2.291	21	1 0 -4
46.2	1.965	38	4 2 -2
48.8	1.865	56	3 3 -1
51.4	1.777	19	0 2 4
52.4	1.745	32	0 4 0

Atomic structure:
Cell lengths 9.5055, 6.9789, 9.5170 Å; angles 90.00, 119.71, 90.00 degrees
Positions (direct):
Ca: 0.0000 0.0000 0.0000
Ca: 0.0006 0.5000 0.7489
Ca: 0.2376 0.5000 0.2484
Ca: 0.2449 0.0000 0.7580
Ca: 0.4838 0.0000 0.2495
Ca: 0.4843 0.5000 0.0082
Ca: 0.5704 0.2481 0.6646
Ca: 0.5704 0.7519 0.6646
Ca: 0.9086 0.2498 0.3407
Ca: 0.9086 0.7502 0.3407
V: 0.8436 0.5000 0.9719
P: 0.2112 0.0000 0.3690
P: 0.2683 0.5000 0.6363
P: 0.6089 0.5000 0.4004
P: 0.6391 0.0000 0.0314
P: 0.8700 0.0000 0.6005
O: 0.0813 0.5000 0.5255
O: 0.1204 0.0000 0.4678
O: 0.1571 0.1788 0.2572
O: 0.1571 0.8212 0.2572
O: 0.3231 0.3203 0.7473
O: 0.3231 0.6797 0.7473
O: 0.3566 0.5000 0.5346
O: 0.3980 0.0000 0.4842
O: 0.4966 0.3208 0.3445
O: 0.4966 0.6792 0.3445
O: 0.5665 0.0000 0.8443
O: 0.5828 0.1796 0.0871
O: 0.5828 0.8204 0.0871
O: 0.6324 0.5000 0.8673
O: 0.7069 0.5000 0.5894
O: 0.7229 0.5000 0.3273
O: 0.7538 0.0000 0.6713
O: 0.7714 0.0000 0.4112
O: 0.8286 0.0000 0.1216
O: 0.9054 0.3058 0.9046
O: 0.9054 0.6942 0.9046
O: 0.9317 0.5000 0.1818
O: 0.9820 0.1787 0.6543
O: 0.9820 0.8213 0.6543
F: 0.2378 0.5000 0.0029
F: 0.2442 0.0000 0.0015

=====

Structure and simulated XRD peak list of CaV8O8F8 (a DFT-relaxed cell (PBE+U, the Materials Project); Cu Kα, 1.54184 Å).
Neutral-atom scattering factors, no anomalous dispersion.

Most intense lines, 2θ = 5–70°, low angle first:
two_theta	d/Å	I/Imax	(hkl)
24.9	3.583	100	-1 1 1
26.7	3.343	97	1 1 1
33.6	2.671	35	1 -1 3
33.7	2.658	24	0 0 4
34.0	2.637	56	1 1 -3
39.6	2.277	18	1 2 -2
49.9	1.829	46	1 -3 1
51.0	1.791	25	-2 2 2
51.5	1.773	18	1 1 5
52.2	1.752	35	1 3 -1
54.9	1.671	22	2 2 2
58.5	1.577	25	0 2 -6

Atomic structure:
Cell lengths 4.9165, 5.7968, 10.6812 Å; angles 95.37, 91.10, 93.78 degrees
Positions (direct):
Ca: 0.0000 0.0000 0.0000
V: 0.0145 0.4274 0.1499
V: 0.0318 0.5784 0.8690
V: 0.4829 0.3831 0.6239
V: 0.4936 0.6488 0.4008
V: 0.5039 0.1284 0.8803
V: 0.5227 0.9073 0.1699
V: 0.9848 0.8951 0.6482
V: 0.9949 0.1528 0.3962
O: 0.1711 0.3509 0.9833
O: 0.2899 0.3699 0.4535
O: 0.2961 0.6452 0.2255
O: 0.3002 0.1243 0.7019
O: 0.6721 0.1760 0.0867
O: 0.6929 0.6590 0.5618
O: 0.6957 0.9295 0.3320
O: 0.8324 0.8994 0.8109
F: 0.1790 0.1232 0.2177
F: 0.1808 0.8792 0.4690
F: 0.2055 0.6106 0.6973
F: 0.3679 0.8123 0.9657
F: 0.6737 0.4165 0.8033
F: 0.8009 0.1740 0.5672
F: 0.8048 0.4246 0.3201
F: 0.8063 0.6861 0.0834